1.
Starting from a DFT-relaxed cell (GGA-PBE, Alexandria), the powder diffraction line list of Cd2GaHgB was computed for a wavelength of 1.5418 Å.

Largest 10 diffraction maxima, in order of rising 2θ, 2θ from 15° to 90°:
17.2°, I = 100
24.4°, I = 18
30.0°, I = 96
34.8°, I = 96
39.0°, I = 54
50.0°, I = 67
53.2°, I = 21
59.4°, I = 27
62.3°, I = 23
83.9°, I = 20

Structural model:
Unit cell a=5.158 b=5.158 c=5.171 alpha=90.00 beta=90.00 gamma=90.00
Sites, in units of the cell vectors:
1 Cd 0.000 0.500 0.000
2 Cd 0.500 0.000 0.000
3 Ga 0.000 0.000 0.000
4 Hg 0.000 0.000 0.500
5 B 0.500 0.500 0.500

2.
Starting from a DFT-relaxed cell (GGA-PBE, Alexandria), the powder diffraction line list of Cd3GaB2Pt9 was computed for a wavelength of 1.5418 Å.

Largest 10 diffraction maxima, in order of rising 2θ, 2θ from 15° to 90°:
20.5°, I = 13
29.3°, I = 35
38.0°, I = 100
39.4°, I = 13
41.8°, I = 81
54.9°, I = 14
63.4°, I = 15
66.0°, I = 25
73.1°, I = 13
73.8°, I = 15

Structural model:
Unit cell a=5.664 b=5.664 c=9.146 alpha=90.00 beta=90.00 gamma=120.00
Sites, in units of the cell vectors:
1 Cd 0.000 0.000 0.000
2 Cd 0.333 0.667 0.602
3 Cd 0.667 0.333 0.398
4 Ga 0.000 0.000 0.500
5 B 0.333 0.667 0.152
6 B 0.667 0.333 0.848
7 Pt 0.000 0.500 0.000
8 Pt 0.163 0.325 0.286
9 Pt 0.163 0.837 0.286
10 Pt 0.325 0.163 0.714
11 Pt 0.500 0.000 0.000
12 Pt 0.500 0.500 0.000
13 Pt 0.675 0.837 0.286
14 Pt 0.837 0.163 0.714
15 Pt 0.837 0.675 0.714

3.
Starting from a DFT-relaxed cell (GGA-PBE, Alexandria), the powder diffraction line list of CdGeB2 was computed for a wavelength of 1.5418 Å.

Largest 10 diffraction maxima, in order of rising 2θ, 2θ from 15° to 90°:
30.7°, I = 100
33.2°, I = 34
40.0°, I = 10
47.7°, I = 16
52.9°, I = 23
57.8°, I = 31
63.9°, I = 10
66.9°, I = 10
78.1°, I = 6
86.2°, I = 11

Structural model:
Unit cell a=5.908 b=5.908 c=5.908 alpha=125.67 beta=125.67 gamma=80.44
Sites, in units of the cell vectors:
1 Cd 0.000 0.000 0.000
2 Cd 0.750 0.250 0.500
3 Ge 0.250 0.750 0.500
4 Ge 0.500 0.500 0.000
5 B 0.175 0.625 0.050
6 B 0.375 0.425 0.550
7 B 0.575 0.125 0.950
8 B 0.875 0.825 0.450

4.
Starting from a DFT-relaxed cell (GGA-PBE, Alexandria), the powder diffraction line list of CdBH2 was computed for a wavelength of 1.5418 Å.

Largest 10 diffraction maxima, in order of rising 2θ, 2θ from 15° to 90°:
22.3°, I = 100
36.0°, I = 42
37.3°, I = 76
42.7°, I = 40
45.0°, I = 17
51.8°, I = 14
58.9°, I = 14
65.5°, I = 27
68.1°, I = 12
69.3°, I = 9

Structural model:
Unit cell a=4.836 b=4.836 c=4.836 alpha=117.82 beta=117.82 gamma=93.83
Sites, in units of the cell vectors:
1 Cd 0.375 0.625 0.750
2 Cd 0.625 0.375 0.250
3 B 0.125 0.875 0.250
4 B 0.875 0.125 0.750
5 H 0.000 0.000 0.000
6 H 0.000 0.000 0.500
7 H 0.000 0.500 0.000
8 H 0.500 0.000 0.500

5.
Starting from a DFT-relaxed cell (GGA-PBE, Alexandria), the powder diffraction line list of KCdB2H8 was computed for a wavelength of 1.5418 Å.

Largest 10 diffraction maxima, in order of rising 2θ, 2θ from 15° to 90°:
21.9°, I = 30
23.0°, I = 81
24.1°, I = 24
26.9°, I = 100
37.7°, I = 37
39.2°, I = 32
44.7°, I = 15
45.3°, I = 31
47.0°, I = 18
61.8°, I = 15

Structural model:
Unit cell a=7.885 b=7.885 c=7.885 alpha=35.19 beta=35.19 gamma=35.19
Sites, in units of the cell vectors:
1 K 0.000 0.000 0.000
2 Cd 0.500 0.500 0.500
3 B 0.258 0.258 0.258
4 B 0.742 0.742 0.742
5 H 0.030 0.558 0.698
6 H 0.302 0.970 0.442
7 H 0.313 0.313 0.313
8 H 0.442 0.302 0.970
9 H 0.558 0.698 0.030
10 H 0.687 0.687 0.687
11 H 0.698 0.030 0.558
12 H 0.970 0.442 0.302

6.
Starting from a DFT-relaxed cell (GGA-PBE, Alexandria), the powder diffraction line list of Cd2HgB2O6 was computed for a wavelength of 1.5418 Å.

Largest 10 diffraction maxima, in order of rising 2θ, 2θ from 15° to 90°:
21.3°, I = 100
25.4°, I = 86
26.8°, I = 72
28.6°, I = 88
31.2°, I = 89
33.3°, I = 57
33.4°, I = 54
34.0°, I = 58
35.2°, I = 37
41.6°, I = 40

Structural model:
Unit cell a=5.193 b=5.405 c=6.420 alpha=72.33 beta=77.60 gamma=61.31
Sites, in units of the cell vectors:
1 Cd 0.241 0.257 0.352
2 Cd 0.759 0.743 0.648
3 Hg 0.000 0.000 0.000
4 B 0.411 0.383 0.743
5 B 0.589 0.617 0.257
6 O 0.175 0.650 0.738
7 O 0.318 0.653 0.213
8 O 0.386 0.159 0.697
9 O 0.614 0.841 0.303
10 O 0.682 0.347 0.787
11 O 0.825 0.350 0.262